Starting from DFT lattice parameters and positions (PBE), the powder diffraction line list of Mg4Si7 was computed for copper Kα.

The 8 most intense peaks (5 to 70 degrees two-theta), sorted by position:
two_theta	d (Å)	Rel. int.	hkl
33.5	2.679	47	-1 1 3
33.7	2.659	61	1 1 4
34.6	2.595	35	1 2 1
35.0	2.565	36	1 -2 0
35.7	2.517	45	1 2 -1
37.8	2.380	100	1 1 -4
38.6	2.332	70	1 -1 5
45.9	1.977	62	2 0 1

Structure:
Lattice parameters (Å, degrees): 3.954 6.842 14.844 88.82 83.34 89.21
Fractional coordinates of all 22 atoms:
Mg  0.000  0.000  0.000
Mg  0.034  0.409  0.886
Mg  0.224  0.598  0.553
Mg  0.651  0.411  0.706
Mg  0.690  0.911  0.629
Mg  0.755  0.273  0.466
Mg  0.809  0.794  0.391
Mg  0.867  0.354  0.244
Si  0.024  0.927  0.205
Si  0.132  0.077  0.755
Si  0.145  0.707  0.747
Si  0.155  0.368  0.059
Si  0.196  0.218  0.605
Si  0.250  0.976  0.491
Si  0.293  0.479  0.373
Si  0.319  0.126  0.334
Si  0.444  0.662  0.005
Si  0.451  0.702  0.250
Si  0.481  0.139  0.139
Si  0.587  0.107  0.853
Si  0.596  0.744  0.848
Si  0.855  0.660  0.111

---

Starting from DFT lattice parameters and positions (PBE), the powder diffraction line list of Mg4Si7 was computed for copper Kα.

The 8 most intense peaks (5 to 70 degrees two-theta), sorted by position:
two_theta	d (Å)	Rel. int.	hkl
33.5	2.676	86	1 1 -4
34.1	2.628	43	-1 1 4
35.9	2.503	94	1 2 1
37.3	2.408	100	1 2 -3
38.5	2.339	56	1 1 4
40.3	2.238	39	0 3 -2
40.9	2.206	79	1 0 5
46.1	1.968	100	2 0 -1

Structure:
Lattice parameters (Å, degrees): 3.936 6.973 14.785 92.11 97.52 90.07
Fractional coordinates of all 22 atoms:
Mg  0.000  0.000  0.000
Mg  0.038  0.489  0.077
Mg  0.107  0.881  0.223
Mg  0.150  0.384  0.309
Mg  0.361  0.449  0.720
Mg  0.412  0.981  0.826
Mg  0.573  0.189  0.152
Mg  0.759  0.394  0.521
Si  0.208  0.049  0.435
Si  0.214  0.682  0.446
Si  0.297  0.125  0.596
Si  0.303  0.766  0.607
Si  0.474  0.644  0.947
Si  0.483  0.287  0.965
Si  0.546  0.806  0.094
Si  0.602  0.569  0.210
Si  0.661  0.098  0.339
Si  0.669  0.745  0.355
Si  0.849  0.143  0.697
Si  0.851  0.787  0.703
Si  0.926  0.642  0.850
Si  0.929  0.288  0.854

---

Starting from DFT lattice parameters and positions (PBE), the powder diffraction line list of Mg4Si7 was computed for copper Kα.

The 8 most intense peaks (5 to 70 degrees two-theta), sorted by position:
two_theta	d (Å)	Rel. int.	hkl
34.6	2.593	47	2 1 -1
35.3	2.546	47	2 1 1
35.8	2.509	100	1 1 -4
36.0	2.494	37	2 1 -2
37.1	2.425	69	1 1 4
37.3	2.410	44	2 0 4
39.1	2.303	33	0 1 5
46.2	1.966	77	0 2 0

Structure:
Lattice parameters (Å, degrees): 7.005 3.933 14.236 90.00 93.96 90.00
Fractional coordinates of all 22 atoms:
Mg  0.000  0.000  0.000
Mg  0.027  0.500  0.178
Mg  0.057  0.500  0.666
Mg  0.228  0.000  0.330
Mg  0.399  0.500  0.483
Mg  0.470  0.000  0.901
Mg  0.536  0.500  0.260
Mg  0.928  0.500  0.417
Si  0.134  0.000  0.524
Si  0.169  0.500  0.871
Si  0.320  0.500  0.030
Si  0.322  0.000  0.139
Si  0.387  0.000  0.650
Si  0.432  0.500  0.759
Si  0.618  0.000  0.398
Si  0.663  0.500  0.631
Si  0.681  0.000  0.123
Si  0.683  0.500  0.021
Si  0.748  0.500  0.851
Si  0.792  0.000  0.554
Si  0.842  0.000  0.277
Si  0.954  0.000  0.809

---

Starting from DFT lattice parameters and positions (PBE), the powder diffraction line list of Mg3Si4 was computed for copper Kα.

The 8 most intense peaks (5 to 70 degrees two-theta), sorted by position:
two_theta	d (Å)	Rel. int.	hkl
34.4	2.609	28	0 2 3
34.8	2.578	25	-1 2 2
37.0	2.427	54	1 1 3
37.3	2.413	56	0 3 2
39.1	2.306	45	-1 1 3
39.2	2.300	100	1 2 -1
39.3	2.292	94	1 -2 1
40.1	2.250	93	2 0 0

Structure:
Lattice parameters (Å, degrees): 4.509 7.370 8.359 65.03 86.65 87.35
Fractional coordinates of all 14 atoms:
Mg  0.000  0.000  0.000
Mg  0.015  0.839  0.706
Mg  0.482  0.137  0.723
Mg  0.498  0.431  0.336
Mg  0.526  0.284  0.052
Mg  0.549  0.599  0.629
Si  0.001  0.171  0.353
Si  0.024  0.536  0.094
Si  0.050  0.412  0.834
Si  0.496  0.848  0.230
Si  0.503  0.010  0.433
Si  0.512  0.745  0.967
Si  0.973  0.339  0.559
Si  0.999  0.680  0.321

---

Starting from DFT lattice parameters and positions (PBE), the powder diffraction line list of Mg5Si6 was computed for copper Kα.

The 8 most intense peaks (5 to 70 degrees two-theta), sorted by position:
two_theta	d (Å)	Rel. int.	hkl
32.0	2.796	36	2 1 0
33.6	2.668	43	2 1 1
35.3	2.540	46	0 1 4
35.8	2.507	100	1 1 -4
36.2	2.482	60	2 1 -3
36.5	2.461	67	2 1 2
38.8	2.323	48	1 1 4
43.9	2.061	87	0 2 0

Structure:
Lattice parameters (Å, degrees): 7.708 4.122 13.077 90.00 99.28 90.00
Fractional coordinates of all 22 atoms:
Mg  0.000  0.000  0.000
Mg  0.030  0.500  0.631
Mg  0.126  0.500  0.184
Mg  0.242  0.000  0.807
Mg  0.297  0.000  0.350
Mg  0.404  0.000  0.603
Mg  0.549  0.000  0.983
Mg  0.736  0.000  0.486
Mg  0.784  0.000  0.754
Mg  0.834  0.000  0.232
Si  0.016  0.500  0.841
Si  0.018  0.500  0.382
Si  0.082  0.000  0.497
Si  0.271  0.500  0.978
Si  0.340  0.000  0.137
Si  0.471  0.500  0.760
Si  0.486  0.500  0.451
Si  0.533  0.500  0.168
Si  0.661  0.500  0.623
Si  0.701  0.500  0.337
Si  0.731  0.500  0.895
Si  0.789  0.500  0.080

---

Starting from DFT lattice parameters and positions (PBE), the powder diffraction line list of Mg3Si4 was computed for copper Kα.

The 8 most intense peaks (5 to 70 degrees two-theta), sorted by position:
two_theta	d (Å)	Rel. int.	hkl
33.4	2.682	67	1 1 1
34.0	2.640	54	1 2 -1
34.6	2.590	47	-2 1 1
35.3	2.542	69	1 1 -3
38.1	2.360	100	0 0 3
40.1	2.249	97	0 3 -1
40.3	2.239	49	-1 2 2
41.1	2.199	54	2 -1 1

Structure:
Lattice parameters (Å, degrees): 5.342 6.843 7.897 104.53 108.44 99.37
Fractional coordinates of all 14 atoms:
Mg  0.000  0.000  0.000
Mg  0.039  0.760  0.330
Mg  0.116  0.251  0.741
Mg  0.324  0.788  0.752
Mg  0.442  0.470  0.280
Mg  0.605  0.010  0.257
Si  0.174  0.640  0.014
Si  0.196  0.172  0.394
Si  0.565  0.144  0.658
Si  0.587  0.220  0.983
Si  0.608  0.582  0.989
Si  0.738  0.837  0.587
Si  0.776  0.528  0.719
Si  0.970  0.439  0.458